Structure and computed powder diffraction line list of Cu3Ag7 (a structure optimized by DFT (PBE); Cu Ka).
Peak positions follow from Bragg's law for the DFT cell and can differ from measured ones.

Peak list (6 most intense, 10° ≤ 2θ ≤ 90°, most intense first)
d_spacing, Position (°2θ), intensity
2.322, 38.78, 100
2.013, 45.04, 33
1.214, 78.88, 23
1.423, 65.62, 19
2.008, 45.16, 15
1.211, 79.06, 10

Structural model:
```
10
Lattice="4.0231 0.0000 0.0000 0.0000 2.0142 10.0386 0.0000 -2.0142 10.0386" Properties=species:S:1:pos:R:3 pbc="T T T"
Cu 0.0000 0.0000 0.0000
Cu 0.0000 0.0000 8.1582
Cu 2.0116 0.0000 6.2774
Ag 0.0000 0.0000 4.2289
Ag 0.0000 0.0000 12.0921
Ag 0.0000 0.0000 16.2908
Ag 2.0116 0.0000 2.0450
Ag 2.0116 0.0000 10.0648
Ag 2.0116 0.0000 14.2667
Ag 2.0116 0.0000 18.1965
```



Structure and computed powder diffraction line list of Cu3Ag5 (a structure optimized by DFT (PBE); Cu Ka).
Peak positions follow from Bragg's law for the DFT cell and can differ from measured ones.

Peak list (6 most intense, 10° ≤ 2θ ≤ 90°, most intense first)
d_spacing, Position (°2θ), intensity
2.287, 39.40, 100
2.023, 44.79, 52
2.306, 39.07, 37
2.342, 38.44, 17
1.913, 47.53, 13
1.219, 78.49, 13

Structural model:
```
16
Lattice="9.3842 0.0000 0.0000 0.0000 2.8550 0.0000 -2.1851 0.0000 9.3567" Properties=species:S:1:pos:R:3 pbc="T T T"
Cu 0.0000 0.0000 0.0000
Cu 1.9104 1.4275 0.9526
Cu 0.5966 0.0000 8.4041
Cu 4.6921 1.4275 0.0000
Cu 6.6025 0.0000 0.9526
Cu 5.2887 1.4275 8.4041
Ag -1.0925 0.0000 4.6783
Ag -1.4632 1.4275 7.2513
Ag 1.4435 0.0000 3.3580
Ag 1.0635 1.4275 5.9987
Ag 3.9702 0.0000 2.1054
Ag 3.5996 1.4275 4.6783
Ag 3.2289 0.0000 7.2513
Ag 6.1356 1.4275 3.3580
Ag 5.7556 0.0000 5.9987
Ag 8.6623 1.4275 2.1054
```



Q: Which formula does entry 1 have?
A: Cu3Ag7